# 1
Diffraction record for NdPa3N6. The X-ray diffraction stick pattern is computed, not measured: it uses a crystal structure in OQMD, relaxed with GGA-PBE and Cu Kα, 1.54184 Å.
Peak positions follow from Bragg's law for the DFT cell and can differ from measured ones.

Structure:
```
data_NdPa3N6
_symmetry_space_group_name_H-M 'C m m m'
_symmetry_Int_Tables_number 65
_symmetry_space_group_name_Hall '-C 2 2'
_cell_length_a 7.827
_cell_length_b 11.285
_cell_length_c 3.688
_cell_angle_alpha 90.00
_cell_angle_beta 90.00
_cell_angle_gamma 90.00
loop_
_atom_site_label
_atom_site_type_symbol
_atom_site_fract_x
_atom_site_fract_y
_atom_site_fract_z
_atom_site_occupancy
Nd1 Nd 0.000 0.000 0.000 1
Pa1 Pa 0.000 0.500 0.000 1
Pa2 Pa 0.250 0.250 0.500 1
N1 N 0.000 0.156 0.500 1
N2 N 0.201 0.370 0.000 1
```

Main lines, by intensity (2θ from 10° to 90°):
2theta, I_rel, index
27.74, 100, 2 2 0
28.93, 94, 0 2 1
46.71, 58, 2 4 1
33.39, 53, 2 0 1
55.61, 31, 4 2 1
31.72, 30, 0 4 0

# 2
Diffraction record for Sm2Er2CIBr4. The X-ray diffraction stick pattern is computed, not measured: it uses a crystal structure in OQMD, relaxed with GGA-PBE and Cu Kα, 1.54184 Å.
Peak positions follow from Bragg's law for the DFT cell and can differ from measured ones.

Structure:
```
data_Sm2Er2CIBr4
_symmetry_space_group_name_H-M 'C 1 2/m 1'
_symmetry_Int_Tables_number 12
_cell_length_a 17.890
_cell_length_b 3.906
_cell_length_c 8.696
_cell_angle_alpha 90.00
_cell_angle_beta 103.19
_cell_angle_gamma 90.00
loop_
_symmetry_equiv_pos_as_xyz
'x,y,z'
'-x,-y,-z'
'-x,y,-z'
'x,-y,z'
'x+1/2,y+1/2,z'
'-x+1/2,-y+1/2,-z'
'-x+1/2,y+1/2,-z'
'x+1/2,-y+1/2,z'
loop_
_atom_site_label
_atom_site_type_symbol
_atom_site_fract_x
_atom_site_fract_y
_atom_site_fract_z
_atom_site_occupancy
Sm1 Sm 0.001 0.000 0.306 1
Er1 Er 0.136 0.500 0.567 1
C1 C 0.000 0.500 0.500 1
I1 I 0.000 0.500 0.000 1
Br1 Br 0.168 0.000 0.811 1
Br2 Br 0.173 0.000 0.352 1
```

Main lines, by intensity (2θ from 10° to 90°):
2theta, I_rel, index
30.78, 100, 1 1 -2
10.45, 39, 0 0 1
10.16, 17, 2 0 0
44.33, 15, 7 1 -2
43.86, 14, 5 1 2
46.49, 12, 0 2 0

# 3
Diffraction record for LuBe2Sb. The X-ray diffraction stick pattern is computed, not measured: it uses a crystal structure in OQMD, relaxed with GGA-PBE and Cu Kα, 1.54184 Å.
Peak positions follow from Bragg's law for the DFT cell and can differ from measured ones.

Structure:
```
data_LuBe2Sb
_symmetry_space_group_name_H-M 'F -4 3 m'
_symmetry_Int_Tables_number 216
_symmetry_space_group_name_Hall 'F -4 2 3'
_cell_length_a 6.690
_cell_length_b 6.690
_cell_length_c 6.690
_cell_angle_alpha 90.00
_cell_angle_beta 90.00
_cell_angle_gamma 90.00
loop_
_atom_site_label
_atom_site_type_symbol
_atom_site_fract_x
_atom_site_fract_y
_atom_site_fract_z
_atom_site_occupancy
Lu1 Lu 0.000 0.000 0.000 1
Be1 Be 0.000 0.000 0.500 1
Be2 Be 0.250 0.250 0.250 1
Sb1 Sb 0.250 0.250 0.750 1
```

Main lines, by intensity (2θ from 10° to 90°):
2theta, I_rel, index
23.03, 100, 1 1 1
38.05, 95, 2 2 0
44.94, 52, 3 1 1
68.74, 33, 4 2 2
60.31, 22, 3 3 1
85.97, 16, 5 3 1

# 4
Diffraction record for NdSmOs4C4. The X-ray diffraction stick pattern is computed, not measured: it uses a crystal structure in OQMD, relaxed with GGA-PBE and Cu Kα, 1.54184 Å.
Peak positions follow from Bragg's law for the DFT cell and can differ from measured ones.

Structure:
```
data_NdSmOs4C4
_symmetry_space_group_name_H-M 'F 2 2 2'
_symmetry_Int_Tables_number 22
_symmetry_space_group_name_Hall 'F 2 2'
_cell_length_a 6.336
_cell_length_b 9.269
_cell_length_c 9.696
_cell_angle_alpha 90.00
_cell_angle_beta 90.00
_cell_angle_gamma 90.00
loop_
_atom_site_label
_atom_site_type_symbol
_atom_site_fract_x
_atom_site_fract_y
_atom_site_fract_z
_atom_site_occupancy
Nd1 Nd 0.000 0.000 0.000 1
Sm1 Sm 0.250 0.250 0.750 1
Os1 Os 0.000 0.000 0.362 1
Os2 Os 0.250 0.250 0.113 1
C1 C 0.000 0.183 0.500 1
C2 C 0.250 0.066 0.250 1
```

Main lines, by intensity (2θ from 10° to 90°):
2theta, I_rel, index
34.29, 100, 2 2 0
32.57, 93, 1 1 3
42.94, 49, 1 3 3
38.87, 37, 0 4 0
52.70, 25, 3 1 3
60.31, 18, 3 3 3

# 5
Diffraction record for NaHoTl2I6. The X-ray diffraction stick pattern is computed, not measured: it uses a crystal structure in OQMD, relaxed with GGA-PBE and Cu Kα, 1.54184 Å.
Peak positions follow from Bragg's law for the DFT cell and can differ from measured ones.

Structure:
```
data_NaHoTl2I6
_symmetry_space_group_name_H-M 'F m -3 m'
_symmetry_Int_Tables_number 225
_symmetry_space_group_name_Hall '-F 4 2 3'
_cell_length_a 12.115
_cell_length_b 12.115
_cell_length_c 12.115
_cell_angle_alpha 90.00
_cell_angle_beta 90.00
_cell_angle_gamma 90.00
loop_
_atom_site_label
_atom_site_type_symbol
_atom_site_fract_x
_atom_site_fract_y
_atom_site_fract_z
_atom_site_occupancy
Na1 Na 0.000 0.000 0.000 1
Ho1 Ho 0.000 0.000 0.500 1
Tl1 Tl 0.250 0.250 0.250 1
I1 I 0.000 0.000 0.253 1
```

Main lines, by intensity (2θ from 10° to 90°):
2theta, I_rel, index
25.47, 100, 2 2 2
29.49, 99, 4 0 0
42.20, 75, 4 4 0
49.93, 47, 6 2 2
69.38, 34, 8 4 0
20.74, 29, 2 2 0

# 6
Diffraction record for Zn2Pt9. The X-ray diffraction stick pattern is computed, not measured: it uses a crystal structure in OQMD, relaxed with GGA-PBE and Cu Kα, 1.54184 Å.
Peak positions follow from Bragg's law for the DFT cell and can differ from measured ones.

Structure:
```
data_Zn2Pt9
_symmetry_space_group_name_H-M 'P -3 m 1'
_symmetry_Int_Tables_number 164
_symmetry_space_group_name_Hall '-P 3 2"'
_cell_length_a 2.7909
_cell_length_b 2.7909
_cell_length_c 37.6377
_cell_angle_alpha 90.00
_cell_angle_beta 90.00
_cell_angle_gamma 120.00
loop_
_atom_site_label
_atom_site_type_symbol
_atom_site_fract_x
_atom_site_fract_y
_atom_site_fract_z
_atom_site_occupancy
Zn1 Zn 0.3333 0.6667 0.3042 1
Pt1 Pt 0.0000 0.0000 0.0000 1
Pt2 Pt 0.0000 0.0000 0.1841 1
Pt3 Pt 0.3333 0.6667 0.1225 1
Pt4 Pt 0.3333 0.6667 0.7527 1
Pt5 Pt 0.3333 0.6667 0.9388 1
```

Main lines, by intensity (2θ from 10° to 90°):
2theta, I_rel, index
39.14, 100, 1 0 5
39.97, 78, 1 0 6
45.97, 78, 0 1 11
67.05, 49, 1 1 0
38.26, 40, 0 0 16
44.55, 34, 0 1 10

# 7
Diffraction record for Y2SbAsPd2. The X-ray diffraction stick pattern is computed, not measured: it uses a crystal structure in OQMD, relaxed with GGA-PBE and Cu Kα, 1.54184 Å.
Peak positions follow from Bragg's law for the DFT cell and can differ from measured ones.

Structure:
```
data_Y2SbAsPd2
_symmetry_space_group_name_H-M 'P 1 m 1'
_symmetry_Int_Tables_number 6
_cell_length_a 11.245
_cell_length_b 4.593
_cell_length_c 11.248
_cell_angle_alpha 90.00
_cell_angle_beta 109.48
_cell_angle_gamma 90.00
loop_
_symmetry_equiv_pos_as_xyz
'x,y,z'
'x,-y,z'
loop_
_atom_site_label
_atom_site_type_symbol
_atom_site_fract_x
_atom_site_fract_y
_atom_site_fract_z
_atom_site_occupancy
Y1 Y 0.000 0.000 0.000 1
Y2 Y 0.117 0.500 0.374 1
Y3 Y 0.242 0.000 0.748 1
Y4 Y 0.375 0.500 0.123 1
Y5 Y 0.505 0.000 0.495 1
Y6 Y 0.630 0.500 0.879 1
Y7 Y 0.754 0.000 0.253 1
Y8 Y 0.877 0.500 0.620 1
Sb1 Sb 0.249 0.000 0.249 1
Sb2 Sb 0.375 0.500 0.624 1
Sb3 Sb 0.501 0.000 0.999 1
Sb4 Sb 0.751 0.000 0.749 1
As1 As 0.123 0.500 0.874 1
As2 As 0.627 0.500 0.373 1
As3 As 0.875 0.500 0.125 1
As4 As 0.998 0.000 0.498 1
Pd1 Pd 0.123 0.500 0.624 1
Pd2 Pd 0.247 0.000 0.997 1
Pd3 Pd 0.375 0.500 0.373 1
Pd4 Pd 0.499 0.000 0.748 1
Pd5 Pd 0.629 0.500 0.129 1
Pd6 Pd 0.753 0.000 0.498 1
Pd7 Pd 0.879 0.500 0.874 1
Pd8 Pd 0.998 0.000 0.248 1
```

Main lines, by intensity (2θ from 10° to 90°):
2theta, I_rel, index
39.24, 100, 0 2 0
23.73, 34, 3 0 -1
71.13, 33, 0 3 4
56.70, 17, 4 2 -4
46.38, 16, 3 1 3
84.38, 10, 0 4 0

# 8
Diffraction record for ScTl2AgI6. The X-ray diffraction stick pattern is computed, not measured: it uses a crystal structure in OQMD, relaxed with GGA-PBE and Cu Kα, 1.54184 Å.
Peak positions follow from Bragg's law for the DFT cell and can differ from measured ones.

Structure:
```
data_ScTl2AgI6
_symmetry_space_group_name_H-M 'I 4/m'
_symmetry_Int_Tables_number 87
_symmetry_space_group_name_Hall '-I 4'
_cell_length_a 7.980
_cell_length_b 7.980
_cell_length_c 12.120
_cell_angle_alpha 90.00
_cell_angle_beta 90.00
_cell_angle_gamma 90.00
loop_
_atom_site_label
_atom_site_type_symbol
_atom_site_fract_x
_atom_site_fract_y
_atom_site_fract_z
_atom_site_occupancy
Sc1 Sc 0.000 0.000 0.000 1
Tl1 Tl 0.000 0.500 0.250 1
Ag1 Ag 0.000 0.000 0.500 1
I1 I 0.000 0.000 0.240 1
I2 I 0.174 0.319 0.000 1
```

Main lines, by intensity (2θ from 10° to 90°):
2theta, I_rel, index
26.75, 100, 2 0 2
29.48, 52, 0 0 4
31.71, 50, 2 2 0
26.03, 45, 2 1 1
43.85, 40, 2 2 4
38.65, 33, 1 3 2

# 9
Diffraction record for Zr4In3Mo2N3. The X-ray diffraction stick pattern is computed, not measured: it uses a crystal structure in OQMD, relaxed with GGA-PBE and Cu Kα, 1.54184 Å.
Peak positions follow from Bragg's law for the DFT cell and can differ from measured ones.

Structure:
```
data_Zr4In3Mo2N3
_symmetry_space_group_name_H-M 'C 1 2/c 1'
_symmetry_Int_Tables_number 15
_cell_length_a 9.791
_cell_length_b 5.650
_cell_length_c 14.736
_cell_angle_alpha 90.00
_cell_angle_beta 102.70
_cell_angle_gamma 90.00
loop_
_symmetry_equiv_pos_as_xyz
'x,y,z'
'-x,-y,-z'
'-x,y,-z+1/2'
'x,-y,z+1/2'
'x+1/2,y+1/2,z'
'-x+1/2,-y+1/2,-z'
'-x+1/2,y+1/2,-z+1/2'
'x+1/2,-y+1/2,z+1/2'
loop_
_atom_site_label
_atom_site_type_symbol
_atom_site_fract_x
_atom_site_fract_y
_atom_site_fract_z
_atom_site_occupancy
Zr1 Zr 0.112 0.092 0.085 1
Zr2 Zr 0.226 0.078 0.415 1
In1 In 0.000 0.105 0.750 1
In2 In 0.155 0.431 0.252 1
Mo1 Mo 0.050 0.424 0.923 1
N1 N 0.087 0.240 0.500 1
N2 N 0.250 0.250 0.000 1
```

Main lines, by intensity (2θ from 10° to 90°):
2theta, I_rel, index
36.93, 100, 3 1 2
31.66, 21, 0 2 0
37.54, 20, 0 0 6
56.40, 19, 3 3 -1
49.90, 16, 0 2 6
67.34, 16, 3 1 8

# 10
Diffraction record for TbTm2Al3AgPt2. The X-ray diffraction stick pattern is computed, not measured: it uses a crystal structure in OQMD, relaxed with GGA-PBE and Cu Kα, 1.54184 Å.
Peak positions follow from Bragg's law for the DFT cell and can differ from measured ones.

Structure:
```
data_TbTm2Al3AgPt2
_symmetry_space_group_name_H-M 'A m m 2'
_symmetry_Int_Tables_number 38
_cell_length_a 3.874
_cell_length_b 12.719
_cell_length_c 7.314
_cell_angle_alpha 90.00
_cell_angle_beta 90.00
_cell_angle_gamma 90.00
loop_
_symmetry_equiv_pos_as_xyz
'x,y,z'
'-x,-y,z'
'-x,y,z'
'x,-y,z'
'x,y+1/2,z+1/2'
'-x,-y+1/2,z+1/2'
'-x,y+1/2,z+1/2'
'x,-y+1/2,z+1/2'
loop_
_atom_site_label
_atom_site_type_symbol
_atom_site_fract_x
_atom_site_fract_y
_atom_site_fract_z
_atom_site_occupancy
Tb1 Tb 0.000 0.000 0.000 1
Tm1 Tm 0.000 0.207 0.620 1
Al1 Al 0.500 0.000 0.672 1
Al2 Al 0.500 0.130 0.285 1
Ag1 Ag 0.000 0.000 0.417 1
Pt1 Pt 0.500 0.169 0.913 1
```

Main lines, by intensity (2θ from 10° to 90°):
2theta, I_rel, index
36.60, 100, 1 2 2
33.67, 100, 1 0 2
24.29, 45, 0 3 1
13.95, 35, 0 2 0
42.78, 26, 0 3 3
46.90, 23, 2 0 0

# 11
Diffraction record for Lu4TlC2Se. The X-ray diffraction stick pattern is computed, not measured: it uses a crystal structure in OQMD, relaxed with GGA-PBE and Cu Kα, 1.54184 Å.
Peak positions follow from Bragg's law for the DFT cell and can differ from measured ones.

Structure:
```
data_Lu4TlC2Se
_symmetry_space_group_name_H-M 'P -6 m 2'
_symmetry_Int_Tables_number 187
_symmetry_space_group_name_Hall 'P -6 2'
_cell_length_a 3.5985
_cell_length_b 3.5985
_cell_length_c 14.4308
_cell_angle_alpha 90.00
_cell_angle_beta 90.00
_cell_angle_gamma 120.00
loop_
_atom_site_label
_atom_site_type_symbol
_atom_site_fract_x
_atom_site_fract_y
_atom_site_fract_z
_atom_site_occupancy
Lu1 Lu 0.0000 0.0000 0.1365 1
Lu2 Lu 0.6667 0.3333 0.3153 1
Tl1 Tl 0.0000 0.0000 0.5000 1
C1 C 0.3333 0.6667 0.2264 1
Se1 Se 0.6667 0.3333 0.0000 1
```

Main lines, by intensity (2θ from 10° to 90°):
2theta, I_rel, index
34.29, 100, 1 0 3
28.64, 30, 1 0 0
50.74, 27, 1 1 0
62.67, 18, 2 0 3
84.73, 16, 2 1 3
59.18, 15, 1 0 8

# 12
Diffraction record for Re17Ni12. The X-ray diffraction stick pattern is computed, not measured: it uses a crystal structure in OQMD, relaxed with GGA-PBE and Cu Kα, 1.54184 Å.
Peak positions follow from Bragg's law for the DFT cell and can differ from measured ones.

Structure:
```
data_Re17Ni12
_symmetry_space_group_name_H-M 'I -4 3 m'
_symmetry_Int_Tables_number 217
_symmetry_space_group_name_Hall 'I -4 2 3'
_cell_length_a 9.211
_cell_length_b 9.211
_cell_length_c 9.211
_cell_angle_alpha 90.00
_cell_angle_beta 90.00
_cell_angle_gamma 90.00
loop_
_atom_site_label
_atom_site_type_symbol
_atom_site_fract_x
_atom_site_fract_y
_atom_site_fract_z
_atom_site_occupancy
Re1 Re 0.000 0.000 0.000 1
Re2 Re 0.093 0.093 0.710 1
Re3 Re 0.176 0.176 0.176 1
Ni1 Ni 0.041 0.360 0.640 1
```

Main lines, by intensity (2θ from 10° to 90°):
2theta, I_rel, index
41.60, 100, 4 1 1
46.23, 42, 3 3 2
72.57, 24, 5 5 0
75.91, 23, 7 2 1
36.50, 20, 3 2 1
50.52, 20, 4 3 1